Entry 1:
Structure and computed PXRD pattern of Ce2Cd5Hg (a structure optimized by DFT (GGA-PBE); λ = 1.5418 Å (Cu Kα)).
Peak positions follow from Bragg's law for the DFT cell and can differ from measured ones.

The 12 most intense peaks (10° ≤ 2θ ≤ 80°), low angle first:
2theta	d (Å)	Rel. int.
26.55	3.358	35.0
30.18	2.962	100.0
31.57	2.834	76.1
33.38	2.684	55.2
35.22	2.548	15.9
35.95	2.498	18.4
38.40	2.344	54.0
40.76	2.214	37.7
41.44	2.179	14.6
41.86	2.158	27.4
57.24	1.610	27.1
61.08	1.517	15.6

Cell and atoms:
```
Ce2Cd5Hg
1.0
2.3444 -8.8876 0.0000
2.3444 8.8876 0.0000
0.0000 0.0000 9.9933
Ce Cd Hg
4 10 2
direct
0.0000 0.0000 0.0000 Ce
0.0000 0.0000 0.5000 Ce
0.1945 0.8055 0.7500 Ce
0.8055 0.1945 0.2500 Ce
0.1928 0.8072 0.1051 Cd
0.1928 0.8072 0.3949 Cd
0.3543 0.6457 0.0298 Cd
0.3543 0.6457 0.4702 Cd
0.3912 0.6088 0.7500 Cd
0.6088 0.3912 0.2500 Cd
0.6457 0.3543 0.5298 Cd
0.6457 0.3543 0.9702 Cd
0.8072 0.1928 0.6051 Cd
0.8072 0.1928 0.8949 Cd
0.4528 0.5472 0.2500 Hg
0.5472 0.4528 0.7500 Hg
```

Entry 2:
Structure and computed PXRD pattern of LiCrCdH6 (a structure optimized by DFT (GGA-PBE); λ = 1.5418 Å (Cu Kα)).
Peak positions follow from Bragg's law for the DFT cell and can differ from measured ones.

The 12 most intense peaks (10° ≤ 2θ ≤ 80°), low angle first:
2theta	d (Å)	Rel. int.
22.58	3.938	35.3
24.99	3.564	16.3
31.17	2.869	100.0
39.63	2.274	40.2
43.19	2.095	8.8
46.10	1.969	6.7
49.28	1.849	10.0
51.27	1.782	23.5
60.06	1.541	21.6
66.69	1.403	20.2
71.72	1.316	8.1
71.92	1.313	6.9

Cell and atoms:
```
LiCrCdH6
1.0
4.5472 0.0000 0.0000
-2.2736 3.9380 0.0000
0.0000 0.0000 8.3782
Li Cr Cd H
2 2 2 12
direct
0.3333 0.6667 0.2500 Li
0.6667 0.3333 0.7500 Li
0.3333 0.6667 0.7500 Cr
0.6667 0.3333 0.2500 Cr
0.0000 0.0000 0.0000 Cd
0.0000 0.0000 0.5000 Cd
0.0246 0.5123 0.6202 H
0.0246 0.5123 0.8798 H
0.4877 0.5123 0.6202 H
0.4877 0.5123 0.8798 H
0.4877 0.9754 0.6202 H
0.4877 0.9754 0.8798 H
0.5123 0.0246 0.1202 H
0.5123 0.0246 0.3798 H
0.5123 0.4877 0.1202 H
0.5123 0.4877 0.3798 H
0.9754 0.4877 0.1202 H
0.9754 0.4877 0.3798 H
```

Entry 3:
Structure and computed PXRD pattern of YHo3Ni8 (a structure optimized by DFT (GGA-PBE); λ = 1.5418 Å (Cu Kα)).
Peak positions follow from Bragg's law for the DFT cell and can differ from measured ones.

The 12 most intense peaks (10° ≤ 2θ ≤ 80°), low angle first:
2theta	d (Å)	Rel. int.
10.69	8.276	2.6
21.51	4.131	9.8
35.49	2.530	58.9
41.88	2.157	100.0
43.75	2.069	4.4
43.86	2.064	13.3
63.62	1.463	5.4
63.75	1.460	16.1
68.02	1.378	7.6
68.12	1.377	22.7
75.03	1.266	11.2
75.18	1.264	11.2

Cell and atoms:
```
YHo3Ni8
1.0
2.5275 1.4592 8.2764
-2.5275 1.4592 8.2764
0.0000 -2.9185 8.2764
Y Ho Ni
1 3 8
direct
0.0000 0.0000 0.0000 Y
0.3755 0.3755 0.3755 Ho
0.5002 0.5002 0.5002 Ho
0.8750 0.8750 0.8750 Ho
0.1876 0.1876 0.1876 Ni
0.4372 0.4372 0.9373 Ni
0.4372 0.9373 0.4372 Ni
0.4386 0.9374 0.9374 Ni
0.6877 0.6877 0.6877 Ni
0.9373 0.4372 0.4372 Ni
0.9374 0.4386 0.9374 Ni
0.9374 0.9374 0.4386 Ni
```

Entry 4:
Structure and computed PXRD pattern of Ho4GeAuSe2 (a structure optimized by DFT (GGA-PBE); λ = 1.5418 Å (Cu Kα)).
Peak positions follow from Bragg's law for the DFT cell and can differ from measured ones.

The 12 most intense peaks (10° ≤ 2θ ≤ 80°), low angle first:
2theta	d (Å)	Rel. int.
17.02	5.209	5.2
26.52	3.361	7.7
27.65	3.226	3.0
30.71	2.911	100.0
41.78	2.162	2.4
43.99	2.058	74.8
52.06	1.757	2.5
54.61	1.681	26.4
63.90	1.457	8.3
64.10	1.453	4.0
72.57	1.303	22.7
72.74	1.300	11.1

Cell and atoms:
```
Ho4GeAuSe2
1.0
-2.9138 2.9138 5.8106
2.9138 -2.9138 5.8106
2.9138 2.9138 -5.8106
Ho Ge Au Se
4 1 1 2
direct
0.2462 0.2462 0.0000 Ho
0.5026 0.0026 0.5000 Ho
0.7538 0.7538 0.0000 Ho
0.9974 0.4974 0.5000 Ho
0.7500 0.2500 0.5000 Ge
0.5000 0.5000 0.0000 Au
0.0000 0.0000 0.0000 Se
0.2500 0.7500 0.5000 Se
```

Entry 5:
Structure and computed PXRD pattern of Cd2Ga3Ag5 (a structure optimized by DFT (GGA-PBE); λ = 1.5418 Å (Cu Kα)).
Peak positions follow from Bragg's law for the DFT cell and can differ from measured ones.

The 12 most intense peaks (10° ≤ 2θ ≤ 80°), low angle first:
2theta	d (Å)	Rel. int.
36.41	2.468	48.9
37.47	2.400	61.7
37.86	2.376	60.4
38.73	2.325	56.1
39.30	2.293	100.0
52.57	1.741	16.2
54.49	1.684	14.3
58.19	1.586	17.7
62.02	1.496	13.8
69.34	1.355	16.7
75.14	1.264	12.9
76.73	1.242	12.3

Cell and atoms:
```
Cd2Ga3Ag5
1.0
4.9976 -6.5430 0.0000
4.9976 6.5430 0.0000
-0.5445 0.0000 5.6964
Cd Ga Ag
4 6 10
direct
0.1204 0.6328 0.8865 Cd
0.3672 0.8796 0.6135 Cd
0.6328 0.1204 0.3865 Cd
0.8796 0.3672 0.1135 Cd
0.0051 0.7230 0.3910 Ga
0.2770 0.9949 0.1090 Ga
0.4671 0.5329 0.7500 Ga
0.5329 0.4671 0.2500 Ga
0.7230 0.0051 0.8910 Ga
0.9949 0.2770 0.6090 Ga
0.0336 0.9664 0.7500 Ag
0.2143 0.2969 0.0043 Ag
0.2252 0.5378 0.3857 Ag
0.2969 0.2143 0.5043 Ag
0.4622 0.7748 0.1143 Ag
0.5378 0.2252 0.8857 Ag
0.7031 0.7857 0.4957 Ag
0.7748 0.4622 0.6143 Ag
0.7857 0.7031 0.9957 Ag
0.9664 0.0336 0.2500 Ag
```

Entry 6:
Structure and computed PXRD pattern of SrInGaHIr (a structure optimized by DFT (GGA-PBE); λ = 1.5418 Å (Cu Kα)).
Peak positions follow from Bragg's law for the DFT cell and can differ from measured ones.

The 12 most intense peaks (10° ≤ 2θ ≤ 80°), low angle first:
2theta	d (Å)	Rel. int.
18.78	4.726	45.4
20.01	4.438	69.3
21.08	4.215	60.6
21.52	4.130	63.1
32.05	2.792	42.1
32.65	2.742	39.6
33.57	2.670	100.0
33.96	2.640	35.0
35.72	2.514	73.2
38.74	2.325	58.4
51.59	1.772	42.1
53.71	1.707	44.8

Cell and atoms:
```
SrInGaHIr
1.0
5.2144 -2.5135 0.0000
5.2144 2.5135 0.0000
-1.9649 0.0000 4.2153
Sr In Ga H Ir
1 1 1 1 1
direct
0.0000 0.0000 0.0000 Sr
0.6519 0.6519 0.6447 In
0.3454 0.3454 0.3358 Ga
0.0837 0.0837 0.5798 H
0.2560 0.2560 0.7512 Ir
```

Entry 7:
Structure and computed PXRD pattern of LaMgZn5Pt2 (a structure optimized by DFT (GGA-PBE); λ = 1.5418 Å (Cu Kα)).
Peak positions follow from Bragg's law for the DFT cell and can differ from measured ones.

The 12 most intense peaks (10° ≤ 2θ ≤ 80°), low angle first:
2theta	d (Å)	Rel. int.
18.25	4.862	59.2
21.68	4.100	39.5
25.92	3.438	33.4
29.78	3.000	47.4
35.31	2.542	34.3
36.98	2.431	100.0
40.03	2.253	22.0
44.32	2.044	24.8
48.18	1.889	25.5
52.05	1.757	45.3
53.29	1.719	34.5
65.56	1.424	22.4

Cell and atoms:
```
LaMgZn5Pt2
1.0
4.8621 0.0000 0.0000
0.0000 4.8621 0.0000
0.0000 0.0000 7.6255
La Mg Zn Pt
1 1 5 2
direct
0.0000 0.0000 0.0000 La
0.0000 0.0000 0.5000 Mg
0.0000 0.5000 0.2787 Zn
0.0000 0.5000 0.7213 Zn
0.5000 0.0000 0.2787 Zn
0.5000 0.0000 0.7213 Zn
0.5000 0.5000 0.0000 Zn
0.5000 0.5000 0.3212 Pt
0.5000 0.5000 0.6788 Pt
```

Entry 8:
Structure and computed PXRD pattern of Ca3Cd2Ga2Hg4 (a structure optimized by DFT (GGA-PBE); λ = 1.5418 Å (Cu Kα)).
Peak positions follow from Bragg's law for the DFT cell and can differ from measured ones.

The 12 most intense peaks (10° ≤ 2θ ≤ 80°), low angle first:
2theta	d (Å)	Rel. int.
21.64	4.106	50.6
24.75	3.597	33.6
24.97	3.566	60.7
28.62	3.119	17.8
33.11	2.706	68.8
37.95	2.371	100.0
38.19	2.356	22.9
43.72	2.071	33.6
45.84	1.979	41.0
51.24	1.783	19.8
65.50	1.425	18.7
68.56	1.369	17.3

Cell and atoms:
```
Ca3Cd2Ga2Hg4
1.0
4.7413 0.0000 0.0000
-2.3706 4.1061 0.0000
0.0000 0.0000 14.3877
Ca Cd Ga Hg
3 2 2 4
direct
0.0000 0.0000 0.0000 Ca
0.0000 0.0000 0.2579 Ca
0.0000 0.0000 0.7421 Ca
0.3333 0.6667 0.5622 Cd
0.6667 0.3333 0.4378 Cd
0.3333 0.6667 0.1407 Ga
0.6667 0.3333 0.8593 Ga
0.3333 0.6667 0.3557 Hg
0.3333 0.6667 0.8783 Hg
0.6667 0.3333 0.1217 Hg
0.6667 0.3333 0.6443 Hg
```

Entry 9:
Structure and computed PXRD pattern of Tl2PtBr2Cl4 (a structure optimized by DFT (GGA-PBE); λ = 1.5418 Å (Cu Kα)).
Peak positions follow from Bragg's law for the DFT cell and can differ from measured ones.

The 12 most intense peaks (10° ≤ 2θ ≤ 80°), low angle first:
2theta	d (Å)	Rel. int.
15.07	5.879	40.5
24.75	3.598	100.0
30.41	2.939	43.3
35.08	2.558	22.5
35.35	2.539	43.4
43.43	2.084	24.0
43.60	2.076	22.2
50.65	1.802	30.6
50.85	1.796	14.9
57.36	1.606	17.0
63.28	1.470	15.3
69.05	1.360	13.2

Cell and atoms:
```
Tl2PtBr2Cl4
1.0
-3.5913 3.5913 5.1162
3.5913 -3.5913 5.1162
3.5913 3.5913 -5.1162
Tl Pt Br Cl
2 1 2 4
direct
0.2500 0.7500 0.5000 Tl
0.7500 0.2500 0.5000 Tl
0.0000 0.0000 0.0000 Pt
0.2439 0.2439 0.0000 Br
0.7561 0.7561 0.0000 Br
0.2312 0.2312 0.4624 Cl
0.2312 0.7688 0.0000 Cl
0.7688 0.2312 0.0000 Cl
0.7688 0.7688 0.5376 Cl
```

Entry 10:
Structure and computed PXRD pattern of TlSe5 (a structure optimized by DFT (GGA-PBE); λ = 1.5418 Å (Cu Kα)).
Peak positions follow from Bragg's law for the DFT cell and can differ from measured ones.

The 12 most intense peaks (10° ≤ 2θ ≤ 80°), low angle first:
2theta	d (Å)	Rel. int.
13.96	6.342	17.2
24.66	3.610	55.1
25.51	3.492	38.7
28.10	3.175	47.0
28.62	3.119	18.2
29.60	3.018	33.4
30.77	2.906	100.0
31.94	2.802	18.2
40.74	2.215	20.3
41.83	2.160	22.6
42.00	2.151	25.6
54.60	1.681	20.3

Cell and atoms:
```
TlSe5
1.0
3.8906 0.0000 0.0000
0.0000 13.2896 0.0000
-1.0566 0.0000 7.2173
Tl Se
2 10
direct
0.2133 0.2500 0.4838 Tl
0.7867 0.7500 0.5162 Tl
0.1918 0.6023 0.0624 Se
0.1918 0.8977 0.0624 Se
0.2369 0.5530 0.3806 Se
0.2369 0.9470 0.3806 Se
0.4355 0.2500 0.9456 Se
0.5645 0.7500 0.0544 Se
0.7631 0.0530 0.6194 Se
0.7631 0.4470 0.6194 Se
0.8082 0.1023 0.9376 Se
0.8082 0.3977 0.9376 Se
```

Entry 11:
Structure and computed PXRD pattern of PuHgBi (a structure optimized by DFT (GGA-PBE); λ = 1.5418 Å (Cu Kα)).
Peak positions follow from Bragg's law for the DFT cell and can differ from measured ones.

The 12 most intense peaks (10° ≤ 2θ ≤ 80°), low angle first:
2theta	d (Å)	Rel. int.
26.67	3.343	7.3
32.93	2.720	89.1
33.17	2.701	100.0
43.06	2.101	12.4
47.44	1.916	33.0
54.94	1.671	8.2
59.11	1.563	34.8
59.26	1.559	19.7
65.70	1.421	29.1
66.12	1.413	3.6
69.62	1.350	12.3
79.19	1.210	15.5

Cell and atoms:
```
PuHgBi
1.0
5.4016 0.0000 0.0000
-2.7008 4.6779 0.0000
0.0000 0.0000 6.6854
Pu Hg Bi
2 2 2
direct
0.3333 0.6667 0.2500 Pu
0.6667 0.3333 0.7500 Pu
0.3333 0.6667 0.7500 Hg
0.6667 0.3333 0.2500 Hg
0.0000 0.0000 0.0000 Bi
0.0000 0.0000 0.5000 Bi
```

Entry 12:
Structure and computed PXRD pattern of Ag3ICl3 (a structure optimized by DFT (GGA-PBE); λ = 1.5418 Å (Cu Kα)).
Peak positions follow from Bragg's law for the DFT cell and can differ from measured ones.

The 12 most intense peaks (10° ≤ 2θ ≤ 80°), low angle first:
2theta	d (Å)	Rel. int.
10.02	8.832	38.1
14.53	6.098	12.8
15.64	5.665	12.8
20.11	4.416	27.6
26.63	3.348	65.6
31.98	2.799	100.0
39.46	2.283	32.8
43.32	2.089	47.5
48.25	1.886	31.7
54.84	1.674	18.3
61.07	1.517	12.7
72.34	1.306	14.4

Cell and atoms:
```
Ag3ICl3
1.0
3.6179 2.0888 8.8316
-3.6179 2.0888 8.8316
0.0000 -4.1775 8.8316
Ag I Cl
6 2 6
direct
0.0733 0.7774 0.4307 Ag
0.2226 0.5693 0.9267 Ag
0.4307 0.0733 0.7774 Ag
0.5693 0.9267 0.2226 Ag
0.7774 0.4307 0.0733 Ag
0.9267 0.2226 0.5693 Ag
0.1677 0.1677 0.1677 I
0.8323 0.8323 0.8323 I
0.0933 0.3885 0.6977 Cl
0.3023 0.9067 0.6115 Cl
0.3885 0.6977 0.0933 Cl
0.6115 0.3023 0.9067 Cl
0.6977 0.0933 0.3885 Cl
0.9067 0.6115 0.3023 Cl
```

Entry 13:
Structure and computed PXRD pattern of Pb3Se2I2O6 (a structure optimized by DFT (GGA-PBE); λ = 1.5418 Å (Cu Kα)).
Peak positions follow from Bragg's law for the DFT cell and can differ from measured ones.

The 12 most intense peaks (10° ≤ 2θ ≤ 80°), low angle first:
2theta	d (Å)	Rel. int.
11.87	7.456	22.2
16.85	5.261	15.3
24.75	3.597	14.5
26.77	3.330	100.0
28.27	3.157	15.1
29.57	3.021	70.5
29.77	3.001	33.3
30.35	2.945	31.4
39.38	2.288	19.6
43.03	2.102	24.8
49.31	1.848	15.3
57.23	1.610	11.9

Cell and atoms:
```
Pb3Se2I2O6
1.0
6.8374 -2.9450 0.0000
6.8374 2.9450 0.0000
-1.2969 0.0000 14.9115
Pb Se I O
6 4 4 12
direct
0.0790 0.9210 0.7500 Pb
0.2643 0.3243 0.1550 Pb
0.3243 0.2643 0.6550 Pb
0.6757 0.7357 0.3450 Pb
0.7357 0.6757 0.8450 Pb
0.9210 0.0790 0.2500 Pb
0.3921 0.4086 0.3679 Se
0.4086 0.3921 0.8679 Se
0.5914 0.6079 0.1321 Se
0.6079 0.5914 0.6321 Se
0.1328 0.1559 0.9431 I
0.1559 0.1328 0.4431 I
0.8441 0.8672 0.5569 I
0.8672 0.8441 0.0569 I
0.1298 0.5603 0.8018 O
0.1347 0.5980 0.2949 O
0.4020 0.8653 0.2051 O
0.4248 0.5357 0.6477 O
0.4397 0.8702 0.6982 O
0.4643 0.5752 0.8523 O
0.5357 0.4248 0.1477 O
0.5603 0.1298 0.3018 O
0.5752 0.4643 0.3523 O
0.5980 0.1347 0.7949 O
0.8653 0.4020 0.7051 O
0.8702 0.4397 0.1982 O
```